For Ac9Ru2Rh4, the GGA-PBE geometry in Alexandria gives the theoretical powder X-ray diffraction pattern in this record (λ = 1.5418 Å (Cu Kα)).
Lines closer than 0.1° are merged.

Main lines, sorted by position (15 to 90 degrees two-theta):
2θ = 26.34°, d 3.383, rel. 11, hkl 0 0 6
2θ = 27.36°, d 3.260, rel. 100, hkl 1 1 3
2θ = 35.88°, d 2.503, rel. 44, hkl 1 1 6
2θ = 42.08°, d 2.148, rel. 37, hkl 3 0 0
2θ = 47.12°, d 1.929, rel. 24, hkl 1 1 9
2θ = 50.33°, d 1.813, rel. 12, hkl 3 0 6
2θ = 50.92°, d 1.793, rel. 19, hkl 2 2 3
2θ = 56.46°, d 1.630, rel. 12, hkl 2 2 6
2θ = 68.12°, d 1.376, rel. 16, hkl 4 1 3
2θ = 70.92°, d 1.329, rel. 16, hkl 3 0 12

Cell: 7.4392 7.4392 20.2995 Å, 90.00 90.00 120.00°
Space group P-3c1 (No. 165)
Symmetry-distinct sites (fractional):
Ac: 0.0000 0.3319 0.2500
Ac: 0.0031 0.3309 0.5842
Ru: 0.0000 0.0000 0.1709
Rh: 0.3333 0.6667 0.3379
Rh: 0.3333 0.6667 0.4960